Computed powder X-ray diffraction pattern
Compound: Mg4Al
Radiation: Cu Kα (weighted mean of Kα1 and Kα2)
Structure: the PBE geometry in Alexandria
Intensities are scaled so that the largest is 100.

Main lines, most intense first (2θ = 5–70°):
two_theta, I_rel
36.86, 100.0
35.04, 28.7
35.52, 28.2
50.75, 19.2
64.66, 18.0
63.98, 9.3
64.11, 8.9
67.56, 7.8
55.40, 7.3
67.17, 4.0
67.34, 3.8

Atomic structure:
```
data_Mg4Al
_chemical_formula_sum 'Mg8 Al2'
_symmetry_space_group_name_H-M 'C 1 2/m 1'
_symmetry_Int_Tables_number 12
_cell_length_a 8.3909
_cell_length_b 5.0550
_cell_length_c 5.5901
_cell_angle_alpha 90.00
_cell_angle_beta 115.11
_cell_angle_gamma 90.00
loop_
_symmetry_equiv_pos_as_xyz
'x,y,z'
'-x,-y,-z'
'-x,y,-z'
'x,-y,z'
'x+1/2,y+1/2,z'
'-x+1/2,-y+1/2,-z'
'-x+1/2,y+1/2,-z'
'x+1/2,-y+1/2,z'
loop_
_atom_site_label
_atom_site_fract_x
_atom_site_fract_y
_atom_site_fract_z
Mg1 0.1011 0.0000 0.3099
Mg2 0.1946 0.5000 0.0869
Al1 0.0000 0.5000 0.5000
```



Computed powder X-ray diffraction pattern
Compound: HoGeS2
Radiation: Cu Kα (weighted mean of Kα1 and Kα2)
Structure: the PBE geometry in Alexandria
Intensities are scaled so that the largest is 100.

Main lines, most intense first (2θ = 5–70°):
two_theta, I_rel
33.37, 100.0
41.93, 85.8
27.82, 59.7
25.16, 58.5
35.13, 32.3
17.36, 28.5
43.96, 26.0
48.23, 19.7
50.81, 18.9
41.60, 18.1
51.32, 18.1
56.60, 17.6

Atomic structure:
```
data_HoGeS2
_chemical_formula_sum 'Ho1 Ge1 S2'
_symmetry_space_group_name_H-M 'P 1 m 1'
_symmetry_Int_Tables_number 6
_cell_length_a 3.7736
_cell_length_b 4.1194
_cell_length_c 5.4478
_cell_angle_alpha 90.00
_cell_angle_beta 110.32
_cell_angle_gamma 90.00
loop_
_symmetry_equiv_pos_as_xyz
'x,y,z'
'x,-y,z'
loop_
_atom_site_label
_atom_site_fract_x
_atom_site_fract_y
_atom_site_fract_z
Ho1 0.0000 0.0000 0.0000
Ge1 0.1999 0.5000 0.4109
S1 0.4343 0.5000 0.8681
S2 0.7061 0.0000 0.4145
```